Structure and simulated powder diffraction line list of NaMgH4SO6F (a DFT-relaxed cell (PBE, Alexandria); CuKα).
No peak broadening, texture or thermal motion is included.

Structural model:
```
data_NaMgH4SO6F
_chemical_formula_sum 'Na2 Mg2 H8 S2 O12 F2'
_symmetry_space_group_name_H-M 'P 1 21/m 1'
_symmetry_Int_Tables_number 11
_symmetry_space_group_name_Hall '-P 2yb'
_cell_length_a 5.795
_cell_length_b 7.302
_cell_length_c 7.225
_cell_angle_alpha 90.00
_cell_angle_beta 112.48
_cell_angle_gamma 90.00
loop_
_atom_site_label
_atom_site_fract_x
_atom_site_fract_y
_atom_site_fract_z
Na1 0.133 0.250 0.199
Mg1 0.500 0.000 0.000
H1 0.072 0.072 0.694
H2 0.198 0.594 0.625
S1 0.348 0.750 0.308
O1 0.154 0.750 0.405
O2 0.172 0.542 0.742
O3 0.299 0.584 0.178
O4 0.401 0.250 0.537
F1 0.386 0.250 0.023
```

Main lines, in order of rising 2θ (10 to 90 degrees two-theta):
16.56°, 5.354 Å, intensity 36
18.00°, 4.927 Å, intensity 31
24.98°, 3.564 Å, intensity 51
27.85°, 3.203 Å, intensity 78
29.76°, 3.002 Å, intensity 100
36.21°, 2.481 Å, intensity 43

---

Structure and simulated powder diffraction line list of MgZr2H12O4F12 (a DFT-relaxed cell (PBE, Alexandria); CuKα).
No peak broadening, texture or thermal motion is included.

Structural model:
```
data_MgZr2H12O4F12
_chemical_formula_sum 'Mg2 Zr4 H24 O8 F24'
_symmetry_space_group_name_H-M 'C 1 2 1'
_symmetry_Int_Tables_number 5
_symmetry_space_group_name_Hall 'C 2y'
_cell_length_a 7.192
_cell_length_b 13.393
_cell_length_c 6.919
_cell_angle_alpha 90.00
_cell_angle_beta 113.03
_cell_angle_gamma 90.00
loop_
_atom_site_label
_atom_site_fract_x
_atom_site_fract_y
_atom_site_fract_z
Mg1 0.000 0.000 0.000
Zr1 0.000 0.458 0.500
Zr2 0.000 0.530 0.000
H1 0.079 0.796 0.322
H2 0.086 0.188 0.789
H3 0.120 0.248 0.411
H4 0.128 0.736 0.865
H5 0.135 0.126 0.333
H6 0.140 0.857 0.793
O1 0.066 0.193 0.295
O2 0.076 0.789 0.747
F1 0.015 0.403 0.804
F2 0.086 0.581 0.330
F3 0.179 0.966 0.862
F4 0.204 0.022 0.274
F5 0.206 0.319 0.572
F6 0.208 0.663 0.037
```

Main lines, in order of rising 2θ (10 to 90 degrees two-theta):
13.22°, 6.697 Å, intensity 73
14.93°, 5.934 Å, intensity 100
19.23°, 4.614 Å, intensity 23
26.73°, 3.335 Å, intensity 36
33.28°, 2.692 Å, intensity 22
42.80°, 2.113 Å, intensity 23

---

Structure and simulated powder diffraction line list of MgZr2H12O4F12 (a DFT-relaxed cell (PBE, Alexandria); CuKα).
No peak broadening, texture or thermal motion is included.

Structural model:
```
data_MgZr2H12O4F12
_chemical_formula_sum 'Mg1 Zr2 H12 O4 F12'
_symmetry_space_group_name_H-M 'P 1'
_symmetry_Int_Tables_number 1
_symmetry_space_group_name_Hall 'P 1'
_cell_length_a 6.864
_cell_length_b 6.956
_cell_length_c 7.618
_cell_angle_alpha 106.13
_cell_angle_beta 115.68
_cell_angle_gamma 97.83
loop_
_atom_site_label
_atom_site_fract_x
_atom_site_fract_y
_atom_site_fract_z
Mg1 0.000 0.000 0.000
Zr1 0.245 0.491 0.883
Zr2 0.347 0.978 0.788
H1 0.045 0.274 0.419
H2 0.070 0.806 0.260
H3 0.092 0.387 0.219
H4 0.465 0.090 0.465
H5 0.484 0.612 0.366
H6 0.590 0.187 0.336
H7 0.621 0.765 0.615
H8 0.690 0.314 0.599
H9 0.745 0.739 0.133
H10 0.785 0.714 0.510
H11 0.836 0.245 0.170
H12 0.917 0.635 0.012
O1 0.007 0.259 0.224
O2 0.556 0.218 0.457
O3 0.631 0.654 0.506
O4 0.929 0.771 0.119
F1 0.024 0.263 0.544
F2 0.142 0.167 0.895
F3 0.208 0.840 0.968
F4 0.251 0.542 0.187
F5 0.316 0.935 0.472
F6 0.351 0.646 0.716
F7 0.455 0.304 0.818
F8 0.592 0.712 0.140
F9 0.604 0.168 0.134
F10 0.689 0.968 0.813
F11 0.896 0.457 0.825
F12 0.998 0.799 0.557
```

Main lines, in order of rising 2θ (10 to 90 degrees two-theta):
13.93°, 6.359 Å, intensity 100
14.56°, 6.083 Å, intensity 32
15.00°, 5.908 Å, intensity 66
25.15°, 3.541 Å, intensity 28
26.10°, 3.414 Å, intensity 38
27.55°, 3.237 Å, intensity 26

---

Structure and simulated powder diffraction line list of Rb2MgH3F (a DFT-relaxed cell (PBE, Alexandria); CuKα).
No peak broadening, texture or thermal motion is included.

Structural model:
```
data_Rb2MgH3F
_chemical_formula_sum 'Rb4 Mg2 H6 F2'
_symmetry_space_group_name_H-M 'I m m m'
_symmetry_Int_Tables_number 71
_symmetry_space_group_name_Hall '-I 2 2'
_cell_length_a 4.170
_cell_length_b 4.201
_cell_length_c 14.194
_cell_angle_alpha 90.00
_cell_angle_beta 90.00
_cell_angle_gamma 90.00
loop_
_atom_site_label
_atom_site_fract_x
_atom_site_fract_y
_atom_site_fract_z
Rb1 0.000 0.000 0.144
Mg1 0.000 0.000 0.500
H1 0.000 0.000 0.359
H2 0.000 0.500 0.000
F1 0.000 0.500 0.500
```

Main lines, in order of rising 2θ (10 to 90 degrees two-theta):
22.07°, 4.028 Å, intensity 46
28.41°, 3.141 Å, intensity 67
28.53°, 3.128 Å, intensity 100
30.20°, 2.959 Å, intensity 71
39.66°, 2.273 Å, intensity 47
52.48°, 1.744 Å, intensity 35